Structure and calculated PXRD pattern of Be17CrCo (a PBE-relaxed structure; Cu Kα X-rays).
Intensities are scaled so that the largest is 100.

a = 7.1509 Å, b = 7.1509 Å, c = 10.5613 Å
α = 90.00°, β = 90.00°, γ = 120.00°
Space group R3m (No. 160, hexagonal axes)
Asymmetric unit:
Be: 0.0000 0.0000 0.0517 x3
Be: 0.0000 0.0000 0.2553 x3
Be: 0.0004 0.5002 0.0000 x9
Be: 0.0033 0.3090 0.1519 x18
Be: 0.0077 0.5039 0.6492 x9
Be: 0.0125 0.5062 0.3077 x9
Cr: 0.0000 0.0000 0.8156 x3
Co: 0.0000 0.0000 0.4835 x3

The 6 most intense peaks (5 to 70 degrees two-theta), most intense first:
- 2θ = 35.80°, I 100
- 2θ = 24.90°, I 85
- 2θ = 51.31°, I 69
- 2θ = 16.59°, I 55
- 2θ = 43.86°, I 44
- 2θ = 22.12°, I 37

---

Structure and calculated PXRD pattern of Zn2CoB2 (a PBE-relaxed structure; Cu Kα X-rays).
Intensities are scaled so that the largest is 100.

a = 5.418 Å, b = 5.418 Å, c = 3.418 Å
α = 90.00°, β = 90.00°, γ = 90.00°
Space group P4/mbm (No. 127)
Asymmetric unit:
Zn: 0.197 0.303 0.000 x4
Co: 0.000 0.000 0.500 x2
B: 0.109 0.609 0.500 x4

The 6 most intense peaks (5 to 70 degrees two-theta), most intense first:
- 2θ = 42.59°, I 100
- 2θ = 45.91°, I 44
- 2θ = 37.11°, I 26
- 2θ = 47.47°, I 26
- 2θ = 35.19°, I 26
- 2θ = 53.63°, I 19

---

Structure and calculated PXRD pattern of Np2MnAl2Si4 (a PBE-relaxed structure; Cu Kα X-rays).
Intensities are scaled so that the largest is 100.

a = 5.921 Å, b = 5.921 Å, c = 8.385 Å
α = 90.00°, β = 90.00°, γ = 90.00°
Space group I4/mmm (No. 139)
Asymmetric unit:
Np: 0.000 0.500 0.250 x4
Mn: 0.000 0.000 0.000 x2
Al: 0.000 0.000 0.282 x4
Si: 0.224 0.224 0.500 x8

The 6 most intense peaks (5 to 70 degrees two-theta), most intense first:
- 2θ = 30.17°, I 100
- 2θ = 21.21°, I 62
- 2θ = 37.18°, I 56
- 2θ = 53.59°, I 39
- 2θ = 43.19°, I 39
- 2θ = 48.60°, I 33

---

Structure and calculated PXRD pattern of SbMoAs2 (a PBE-relaxed structure; Cu Kα X-rays).
Intensities are scaled so that the largest is 100.

a = 8.868 Å, b = 3.300 Å, c = 6.310 Å
α = 90.00°, β = 109.31°, γ = 90.00°
Space group Cm (No. 8)
Asymmetric unit:
Sb: 0.000 0.000 0.000 x2
Mo: 0.120 0.500 0.389 x2
As: 0.187 0.000 0.720 x2
As: 0.330 0.000 0.371 x2

The 6 most intense peaks (5 to 70 degrees two-theta), most intense first:
- 2θ = 34.45°, I 100
- 2θ = 45.69°, I 88
- 2θ = 40.71°, I 49
- 2θ = 39.52°, I 44
- 2θ = 31.12°, I 43
- 2θ = 21.54°, I 38

---

Structure and calculated PXRD pattern of Zn2CoRu (a PBE-relaxed structure; Cu Kα X-rays).
Intensities are scaled so that the largest is 100.

a = 3.885 Å, b = 3.885 Å, c = 6.997 Å
α = 90.00°, β = 90.00°, γ = 90.00°
Space group I-4m2 (No. 119)
Asymmetric unit:
Zn: 0.000 0.000 0.000 x2
Zn: 0.000 0.500 0.250 x2
Co: 0.000 0.500 0.750 x2
Ru: 0.000 0.000 0.500 x2

The 6 most intense peaks (5 to 70 degrees two-theta), most intense first:
- 2θ = 41.81°, I 100
- 2θ = 46.77°, I 36
- 2θ = 52.30°, I 13
- 2θ = 68.29°, I 11
- 2θ = 26.24°, I 4
- 2θ = 32.60°, I 2

---

Structure and calculated PXRD pattern of Cs3Na2In8 (a PBE-relaxed structure; Cu Kα X-rays).
Intensities are scaled so that the largest is 100.

a = 7.296 Å, b = 7.489 Å, c = 9.963 Å
α = 86.07°, β = 72.54°, γ = 75.07°
Space group P-1 (No. 2)
Asymmetric unit:
Cs: 0.000 0.000 0.000 x1
Cs: 0.312 0.858 0.285 x2
Na: 0.412 0.706 0.662 x2
In: 0.059 0.373 0.368 x2
In: 0.132 0.446 0.847 x2
In: 0.228 0.190 0.599 x2
In: 0.353 0.381 0.070 x2

The 6 most intense peaks (5 to 70 degrees two-theta), most intense first:
- 2θ = 26.44°, I 100
- 2θ = 30.42°, I 80
- 2θ = 30.24°, I 74
- 2θ = 24.86°, I 64
- 2θ = 32.87°, I 58
- 2θ = 25.30°, I 51

---

Structure and calculated PXRD pattern of Y3ScGa2 (a PBE-relaxed structure; Cu Kα X-rays).
Intensities are scaled so that the largest is 100.

a = 6.249 Å, b = 15.727 Å, c = 6.229 Å
α = 90.00°, β = 90.00°, γ = 90.00°
Space group Ibam (No. 72)
Asymmetric unit:
Y: 0.000 0.000 0.250 x4
Y: 0.243 0.320 0.000 x8
Sc: 0.000 0.500 0.250 x4
Ga: 0.240 0.370 0.500 x8

The 6 most intense peaks (5 to 70 degrees two-theta), most intense first:
- 2θ = 30.84°, I 100
- 2θ = 36.78°, I 91
- 2θ = 40.91°, I 72
- 2θ = 30.45°, I 39
- 2θ = 40.01°, I 38
- 2θ = 28.61°, I 33

---

Structure and calculated PXRD pattern of LiPuI3 (a PBE-relaxed structure; Cu Kα X-rays).
Intensities are scaled so that the largest is 100.

a = 4.512 Å, b = 25.525 Å, c = 7.647 Å
α = 90.00°, β = 90.00°, γ = 90.00°
Space group Ama2 (No. 40)
Asymmetric unit:
Li: 0.250 0.124 0.000 x4
Pu: 0.250 0.330 0.096 x4
I: 0.250 0.119 0.363 x4
I: 0.250 0.227 0.835 x4
I: 0.250 0.422 0.368 x4

The 6 most intense peaks (5 to 70 degrees two-theta), most intense first:
- 2θ = 6.93°, I 100
- 2θ = 25.20°, I 99
- 2θ = 33.76°, I 91
- 2θ = 31.46°, I 84
- 2θ = 15.58°, I 79
- 2θ = 40.61°, I 49